The following is a computed PXRD pattern of LiFePH12O10. It was derived from the GGA+U geometry in Alexandria, using CuKα.

Crystal structure
a = 6.7610 Å, b = 6.2373 Å, c = 11.0570 Å
α = 90.00°, β = 90.00°, γ = 90.00°
Positions (direct):
Li: 0.0000 0.0308 0.0000
Li: 0.5000 0.9692 0.5000
Fe: 0.0000 0.8881 0.7097
Fe: 0.5000 0.1119 0.2097
P: 0.0000 0.4965 0.3424
P: 0.5000 0.5035 0.8424
H: 0.0000 0.2320 0.5476
H: 0.0000 0.3321 0.6824
H: 0.1196 0.4996 0.8261
H: 0.1572 0.3173 0.1440
H: 0.1819 0.1207 0.3730
H: 0.2168 0.7139 0.5219
H: 0.2408 0.8716 0.3502
H: 0.2592 0.1284 0.8502
H: 0.2832 0.2861 0.0219
H: 0.3181 0.8793 0.8730
H: 0.3428 0.6827 0.6440
H: 0.3804 0.5004 0.3261
H: 0.5000 0.6679 0.1824
H: 0.5000 0.7680 0.0476
H: 0.6196 0.5004 0.3261
H: 0.6572 0.6827 0.6440
H: 0.6819 0.8793 0.8730
H: 0.7168 0.2861 0.0219
H: 0.7408 0.1284 0.8502
H: 0.7592 0.8716 0.3502
H: 0.7832 0.7139 0.5219
H: 0.8181 0.1207 0.3730
H: 0.8428 0.3173 0.1440
H: 0.8804 0.4996 0.8261
O: 0.0000 0.1956 0.6362
O: 0.0000 0.2692 0.4031
O: 0.0000 0.4700 0.2037
O: 0.0000 0.5532 0.7800
O: 0.1884 0.6191 0.3846
O: 0.2021 0.9793 0.8555
O: 0.2403 0.2070 0.0974
O: 0.2597 0.7930 0.5974
O: 0.2979 0.0207 0.3555
O: 0.3116 0.3809 0.8846
O: 0.5000 0.4468 0.2800
O: 0.5000 0.5300 0.7037
O: 0.5000 0.7308 0.9031
O: 0.5000 0.8044 0.1362
O: 0.6884 0.3809 0.8846
O: 0.7021 0.0207 0.3555
O: 0.7403 0.7930 0.5974
O: 0.7597 0.2070 0.0974
O: 0.7979 0.9793 0.8555
O: 0.8116 0.6191 0.3846

Principal peaks in the range 2θ = 10–90°, in order of rising 2θ:
2θ/deg	I/Imax	(hkl)
15.36	48	1 0 1
16.03	47	0 0 2
16.32	43	0 1 1
20.98	100	1 1 1
27.56	30	1 0 3
31.01	23	2 0 2
31.16	21	2 1 1
32.98	23	0 2 2